KErCoSe3: theoretical powder diffractogram (Cu Ka), based on a cell relaxed with GGA-PBE.
Neutral-atom scattering factors, no anomalous dispersion.

Principal peaks in the range 10 to 90 degrees two-theta, in order of falling intensity:
2θ 29.55, d = 3.023 Å, I 100
2θ 10.42, d = 8.489 Å, I 62
2θ 32.75, d = 2.734 Å, I 52
2θ 45.44, d = 1.996 Å, I 28
2θ 43.93, d = 2.061 Å, I 28
2θ 42.94, d = 2.106 Å, I 27
2θ 37.71, d = 2.385 Å, I 25
2θ 23.69, d = 3.756 Å, I 24
2θ 41.62, d = 2.170 Å, I 23
2θ 55.04, d = 1.668 Å, I 23

Cell and atoms:
```
KErCoSe3
1.0
8.3959 -2.1061 0.0000
8.3959 2.1061 0.0000
-1.8546 0.0000 8.4889
K Er Co Se
2 2 2 6
Direct
0.1479 0.1479 0.0702
0.8521 0.8521 0.9298
0.1658 0.1658 0.5838
0.8342 0.8342 0.4162
0.4995 0.4995 0.2703
0.5005 0.5005 0.7297
0.0000 0.0000 0.5000
0.3403 0.3403 0.6435
0.3475 0.3475 0.2082
0.5000 0.5000 0.0000
0.6525 0.6525 0.7918
0.6597 0.6597 0.3565
```

LiErCoSe3: theoretical powder diffractogram (Cu Ka), based on a cell relaxed with GGA-PBE.
Neutral-atom scattering factors, no anomalous dispersion.

Principal peaks in the range 10 to 90 degrees two-theta, in order of falling intensity:
2θ 13.78, d = 6.428 Å, I 100
2θ 35.63, d = 2.520 Å, I 81
2θ 45.73, d = 1.984 Å, I 51
2θ 31.22, d = 2.865 Å, I 35
2θ 28.85, d = 3.094 Å, I 32
2θ 36.71, d = 2.448 Å, I 29
2θ 42.00, d = 2.151 Å, I 25
2θ 25.56, d = 3.485 Å, I 23
2θ 32.37, d = 2.766 Å, I 21
2θ 47.19, d = 1.926 Å, I 21

Cell and atoms:
```
LiErCoSe3
1.0
1.9262 -6.4283 0.0000
1.9262 6.4283 0.0000
0.0000 0.0000 10.5901
Li Er Co Se
2 2 2 6
Direct
0.2152 0.7848 0.7500
0.7848 0.2152 0.2500
0.0000 0.0000 0.0000
0.0000 0.0000 0.5000
0.4789 0.5211 0.2500
0.5211 0.4789 0.7500
0.0893 0.9107 0.2500
0.3561 0.6439 0.0809
0.3561 0.6439 0.4191
0.6439 0.3561 0.5809
0.6439 0.3561 0.9191
0.9107 0.0893 0.7500
```